1.
# TbHoSnC
Computed XRD peak list, Cu Kα, 1.54184 Å. Input: a DFT-relaxed cell (GGA-PBE, OQMD).

Crystal structure
```
data_TbHoSnC
_cell_length_a 3.6205
_cell_length_b 3.6205
_cell_length_c 15.8969
_cell_angle_alpha 90.00
_cell_angle_beta 90.00
_cell_angle_gamma 120.00
_space_group_name_H-M_alt 'P -6 m 2'
_space_group_IT_number 187
_space_group_name_Hall 'P -6 2'
loop_
_atom_site_label
_atom_site_type_symbol
_atom_site_fract_x
_atom_site_fract_y
_atom_site_fract_z
Tb1 Tb 0.0000 0.0000 0.1658
Ho1 Ho 0.3333 0.6667 0.3347
Sn1 Sn 0.0000 0.0000 0.5000
Sn2 Sn 0.3333 0.6667 0.0000
C1 C 0.6667 0.3333 0.2514
```

Top 8 peaks for 10° ≤ 2θ ≤ 90°, low angle first:
(1 0 0), 2θ = 28.47°, rel. 22
(1 0 3), 2θ = 33.20°, rel. 100
(0 0 6), 2θ = 33.83°, rel. 20
(1 0 6), 2θ = 44.78°, rel. 16
(1 1 0), 2θ = 50.41°, rel. 22
(1 0 9), 2θ = 60.13°, rel. 18
(2 0 3), 2θ = 61.70°, rel. 17
(1 1 6), 2θ = 62.10°, rel. 22


2.
# Ho2HgGe4O12
Computed XRD peak list, Cu Kα, 1.54184 Å. Input: a DFT-relaxed cell (GGA-PBE, OQMD).

Crystal structure
```
data_Ho2HgGe4O12
_cell_length_a 5.0966
_cell_length_b 7.1505
_cell_length_c 7.9180
_cell_angle_alpha 68.04
_cell_angle_beta 88.23
_cell_angle_gamma 79.72
_space_group_name_H-M_alt 'P 1'
_space_group_IT_number 1
_space_group_name_Hall 'P 1'
loop_
_atom_site_label
_atom_site_type_symbol
_atom_site_fract_x
_atom_site_fract_y
_atom_site_fract_z
Ho1 Ho 0.0000 0.0000 0.0000
Ho2 Ho 0.0886 0.5313 0.9202
Hg1 Hg 0.0451 0.7669 0.4604
Ge1 Ge 0.4580 0.1541 0.2468
Ge2 Ge 0.5000 0.9274 0.6863
Ge3 Ge 0.5888 0.6041 0.2341
Ge4 Ge 0.6307 0.3775 0.6733
O1 O 0.2387 0.1967 0.0679
O2 O 0.2548 0.8380 0.8395
O3 O 0.3130 0.5050 0.6824
O4 O 0.3232 0.7957 0.2331
O5 O 0.3271 0.0651 0.4688
O6 O 0.4422 0.4305 0.1707
O7 O 0.6468 0.1010 0.7494
O8 O 0.7619 0.4664 0.4514
O9 O 0.7651 0.7355 0.6871
O10 O 0.7752 0.0260 0.2377
O11 O 0.8336 0.6936 0.0804
O12 O 0.8495 0.3347 0.8526
```

Top 8 peaks for 10° ≤ 2θ ≤ 90°, low angle first:
(0 1 0), 2θ = 13.57°, rel. 29
(-1 1 1), 2θ = 24.40°, rel. 56
(1 2 1), 2θ = 28.39°, rel. 100
(1 0 -2), 2θ = 29.61°, rel. 62
(1 0 2), 2θ = 30.77°, rel. 74
(-1 2 1), 2θ = 33.65°, rel. 32
(0 2 -1), 2θ = 34.00°, rel. 59
(0 2 3), 2θ = 36.76°, rel. 32


3.
# Dy2SeS
Computed XRD peak list, Cu Kα, 1.54184 Å. Input: a DFT-relaxed cell (GGA-PBE, OQMD).

Crystal structure
```
data_Dy2SeS
_cell_length_a 4.0032
_cell_length_b 3.9801
_cell_length_c 11.2885
_cell_angle_alpha 90.00
_cell_angle_beta 90.00
_cell_angle_gamma 90.00
_space_group_name_H-M_alt 'P m c 21'
_space_group_IT_number 26
_space_group_name_Hall 'P 2c -2'
loop_
_atom_site_label
_atom_site_type_symbol
_atom_site_fract_x
_atom_site_fract_y
_atom_site_fract_z
Dy1 Dy 0.0000 0.0034 0.0000
Dy2 Dy 0.5000 0.4967 0.2507
Se1 Se 0.0000 0.0038 0.7501
S1 S 0.5000 0.4965 0.5007
```

Top 8 peaks for 10° ≤ 2θ ≤ 90°, low angle first:
(1 0 2), 2θ = 27.31°, rel. 22
(0 1 2), 2θ = 27.42°, rel. 22
(1 1 0), 2θ = 31.70°, rel. 100
(1 1 4), 2θ = 45.45°, rel. 49
(2 0 4), 2θ = 56.35°, rel. 13
(0 2 4), 2θ = 56.59°, rel. 13
(2 2 4), 2θ = 75.29°, rel. 22
(0 2 8), 2θ = 84.16°, rel. 12


4.
# NaPuAgTe3
Computed XRD peak list, Cu Kα, 1.54184 Å. Input: a DFT-relaxed cell (GGA-PBE, OQMD).

Crystal structure
```
data_NaPuAgTe3
_cell_length_a 4.4070
_cell_length_b 14.6468
_cell_length_c 11.3415
_cell_angle_alpha 90.00
_cell_angle_beta 90.00
_cell_angle_gamma 90.00
_space_group_name_H-M_alt 'C m c m'
_space_group_IT_number 63
_space_group_name_Hall '-C 2c 2'
loop_
_atom_site_label
_atom_site_type_symbol
_atom_site_fract_x
_atom_site_fract_y
_atom_site_fract_z
Na1 Na 0.0000 0.2317 0.2500
Pu1 Pu 0.0000 0.0000 0.0000
Ag1 Ag 0.0000 0.4738 0.7500
Te1 Te 0.0000 0.0923 0.7500
Te2 Te 0.0000 0.3602 0.5543
```

Top 8 peaks for 10° ≤ 2θ ≤ 90°, low angle first:
(0 2 0), 2θ = 12.09°, rel. 67
(0 2 3), 2θ = 26.53°, rel. 17
(1 3 0), 2θ = 27.26°, rel. 21
(1 3 1), 2θ = 28.39°, rel. 21
(0 0 4), 2θ = 31.57°, rel. 100
(1 5 2), 2θ = 40.24°, rel. 49
(2 0 0), 2θ = 40.96°, rel. 19
(0 6 3), 2θ = 44.17°, rel. 17


5.
# Y2Tl3W4C3
Computed XRD peak list, Cu Kα, 1.54184 Å. Input: a DFT-relaxed cell (GGA-PBE, OQMD).

Crystal structure
```
data_Y2Tl3W4C3
_cell_length_a 10.0030
_cell_length_b 5.8199
_cell_length_c 14.5705
_cell_angle_alpha 90.00
_cell_angle_beta 103.78
_cell_angle_gamma 90.00
_space_group_name_H-M_alt 'C 1 2/c 1'
_space_group_IT_number 15
_space_group_name_Hall '-C 2yc'
loop_
_atom_site_label
_atom_site_type_symbol
_atom_site_fract_x
_atom_site_fract_y
_atom_site_fract_z
Y1 Y 0.0401 0.0785 0.3942
Tl1 Tl 0.0000 0.4900 0.2500
Tl2 Tl 0.2057 0.1215 0.7543
W1 W 0.1078 0.4068 0.5673
W2 W 0.2311 0.4241 0.9331
C1 C 0.0862 0.2584 0.9995
C2 C 0.2500 0.2500 0.5000
```

Top 8 peaks for 10° ≤ 2θ ≤ 90°, low angle first:
(1 1 0), 2θ = 17.77°, rel. 12
(3 1 -1), 2θ = 30.91°, rel. 23
(3 1 -4), 2θ = 36.28°, rel. 100
(3 1 2), 2θ = 36.57°, rel. 45
(0 0 6), 2θ = 38.17°, rel. 29
(3 1 -7), 2θ = 49.71°, rel. 12
(3 3 -1), 2θ = 54.75°, rel. 16
(3 1 -10), 2θ = 67.58°, rel. 14


6.
# HoSiGeW4
Computed XRD peak list, Cu Kα, 1.54184 Å. Input: a DFT-relaxed cell (GGA-PBE, OQMD).

Crystal structure
```
data_HoSiGeW4
_cell_length_a 3.4237
_cell_length_b 4.3647
_cell_length_c 16.1643
_cell_angle_alpha 90.00
_cell_angle_beta 90.00
_cell_angle_gamma 90.00
_space_group_name_H-M_alt 'A m m 2'
_space_group_IT_number 38
_space_group_name_Hall 'A 2 -2'
loop_
_atom_site_label
_atom_site_type_symbol
_atom_site_fract_x
_atom_site_fract_y
_atom_site_fract_z
Ho1 Ho 0.0000 0.0000 0.0000
Si1 Si 0.5000 0.0000 0.4263
Ge1 Ge 0.5000 0.0000 0.5750
W1 W 0.0000 0.0000 0.3154
W2 W 0.0000 0.0000 0.6929
W3 W 0.5000 0.0000 0.1787
W4 W 0.5000 0.0000 0.8287
```

Top 8 peaks for 10° ≤ 2θ ≤ 90°, low angle first:
(0 0 2), 2θ = 10.95°, rel. 35
(0 0 6), 2θ = 33.26°, rel. 19
(1 1 3), 2θ = 37.32°, rel. 100
(0 2 0), 2θ = 41.37°, rel. 24
(1 1 5), 2θ = 43.74°, rel. 21
(2 0 0), 2θ = 53.53°, rel. 12
(2 2 0), 2θ = 69.83°, rel. 12
(1 3 3), 2θ = 72.78°, rel. 16


7.
# Rb2Dy4Cu4Se9
Computed XRD peak list, Cu Kα, 1.54184 Å. Input: a DFT-relaxed cell (GGA-PBE, OQMD).

Crystal structure
```
data_Rb2Dy4Cu4Se9
_cell_length_a 14.4707
_cell_length_b 4.1250
_cell_length_c 16.5969
_cell_angle_alpha 90.00
_cell_angle_beta 109.05
_cell_angle_gamma 90.00
_space_group_name_H-M_alt 'C 1 2/m 1'
_space_group_IT_number 12
_space_group_name_Hall '-C 2y'
loop_
_atom_site_label
_atom_site_type_symbol
_atom_site_fract_x
_atom_site_fract_y
_atom_site_fract_z
Rb1 Rb 0.0307 0.0000 0.2712
Dy1 Dy 0.1544 0.5000 0.5558
Dy2 Dy 0.2303 0.0000 0.1023
Cu1 Cu 0.0744 0.5000 0.9688
Cu2 Cu 0.2460 0.0000 0.7304
Se1 Se 0.0000 0.0000 0.5000
Se2 Se 0.1059 0.5000 0.1269
Se3 Se 0.1377 0.0000 0.9229
Se4 Se 0.1523 0.5000 0.7242
Se5 Se 0.2023 0.5000 0.3988
```

Top 8 peaks for 10° ≤ 2θ ≤ 90°, low angle first:
(2 0 0), 2θ = 12.94°, rel. 86
(3 1 -1), 2θ = 28.47°, rel. 100
(3 1 -2), 2θ = 28.91°, rel. 79
(3 1 0), 2θ = 29.19°, rel. 53
(3 1 -3), 2θ = 30.45°, rel. 47
(3 1 1), 2θ = 30.99°, rel. 76
(5 1 -2), 2θ = 37.98°, rel. 52
(0 2 0), 2θ = 43.90°, rel. 80


8.
# GdYBPb
Computed XRD peak list, Cu Kα, 1.54184 Å. Input: a DFT-relaxed cell (GGA-PBE, OQMD).

Crystal structure
```
data_GdYBPb
_cell_length_a 3.7115
_cell_length_b 3.7115
_cell_length_c 16.8199
_cell_angle_alpha 90.00
_cell_angle_beta 90.00
_cell_angle_gamma 120.00
_space_group_name_H-M_alt 'P -3 m 1'
_space_group_IT_number 164
_space_group_name_Hall '-P 3 2"'
loop_
_atom_site_label
_atom_site_type_symbol
_atom_site_fract_x
_atom_site_fract_y
_atom_site_fract_z
Gd1 Gd 0.3333 0.6667 0.0912
Y1 Y 0.3333 0.6667 0.4109
B1 B 0.0000 0.0000 0.0000
B2 B 0.0000 0.0000 0.5000
Pb1 Pb 0.3333 0.6667 0.7481
```

Top 8 peaks for 10° ≤ 2θ ≤ 90°, low angle first:
(1 0 0), 2θ = 27.75°, rel. 23
(0 0 6), 2θ = 31.92°, rel. 21
(0 1 3), 2θ = 32.10°, rel. 100
(1 0 6), 2θ = 42.80°, rel. 16
(1 1 0), 2θ = 49.09°, rel. 21
(0 1 9), 2θ = 57.00°, rel. 18
(1 1 6), 2θ = 59.76°, rel. 21
(2 0 3), 2θ = 59.87°, rel. 17


9.
# Dy2LuCu4Ge4
Computed XRD peak list, Cu Kα, 1.54184 Å. Input: a DFT-relaxed cell (GGA-PBE, OQMD).

Crystal structure
```
data_Dy2LuCu4Ge4
_cell_length_a 4.1955
_cell_length_b 6.6205
_cell_length_c 13.8948
_cell_angle_alpha 90.00
_cell_angle_beta 90.00
_cell_angle_gamma 90.00
_space_group_name_H-M_alt 'I m m m'
_space_group_IT_number 71
_space_group_name_Hall '-I 2 2'
loop_
_atom_site_label
_atom_site_type_symbol
_atom_site_fract_x
_atom_site_fract_y
_atom_site_fract_z
Dy1 Dy 0.0000 0.0000 0.1298
Lu1 Lu 0.0000 0.5000 0.0000
Cu1 Cu 0.0000 0.1897 0.3310
Ge1 Ge 0.0000 0.3054 0.5000
Ge2 Ge 0.0000 0.5000 0.2160
```

Top 8 peaks for 10° ≤ 2θ ≤ 90°, low angle first:
(0 1 5), 2θ = 35.02°, rel. 29
(1 2 1), 2θ = 35.13°, rel. 94
(1 1 4), 2θ = 36.21°, rel. 100
(0 0 6), 2θ = 38.89°, rel. 20
(2 0 0), 2θ = 43.12°, rel. 37
(0 3 3), 2θ = 45.53°, rel. 28
(2 3 3), 2θ = 64.51°, rel. 19
(1 5 4), 2θ = 81.02°, rel. 15


10.
# K2RbCd2F7
Computed XRD peak list, Cu Kα, 1.54184 Å. Input: a DFT-relaxed cell (GGA-PBE, OQMD).

Crystal structure
```
data_K2RbCd2F7
_cell_length_a 4.3050
_cell_length_b 4.3050
_cell_length_c 21.4835
_cell_angle_alpha 90.00
_cell_angle_beta 90.00
_cell_angle_gamma 90.00
_space_group_name_H-M_alt 'I 4/m m m'
_space_group_IT_number 139
_space_group_name_Hall '-I 4 2'
loop_
_atom_site_label
_atom_site_type_symbol
_atom_site_fract_x
_atom_site_fract_y
_atom_site_fract_z
K1 K 0.0000 0.0000 0.1839
Rb1 Rb 0.0000 0.0000 0.0000
Cd1 Cd 0.0000 0.0000 0.3969
F1 F 0.0000 0.0000 0.2957
F2 F 0.0000 0.0000 0.5000
F3 F 0.0000 0.5000 0.0990
```

Top 8 peaks for 10° ≤ 2θ ≤ 90°, low angle first:
(0 0 4), 2θ = 16.51°, rel. 12
(1 0 1), 2θ = 21.05°, rel. 12
(1 1 0), 2θ = 29.36°, rel. 100
(2 0 0), 2θ = 42.00°, rel. 41
(1 1 10), 2θ = 52.07°, rel. 35
(2 2 0), 2θ = 60.90°, rel. 23
(3 1 0), 2θ = 68.99°, rel. 11
(3 2 5), 2θ = 84.18°, rel. 12


11.
# AlCdGaSe4
Computed XRD peak list, Cu Kα, 1.54184 Å. Input: a DFT-relaxed cell (GGA-PBE, OQMD).

Crystal structure
```
data_AlCdGaSe4
_cell_length_a 7.8221
_cell_length_b 7.8221
_cell_length_c 10.8792
_cell_angle_alpha 90.00
_cell_angle_beta 90.00
_cell_angle_gamma 90.00
_space_group_name_H-M_alt 'P 41 2 2'
_space_group_IT_number 91
_space_group_name_Hall 'P 4w 2c'
loop_
_atom_site_label
_atom_site_type_symbol
_atom_site_fract_x
_atom_site_fract_y
_atom_site_fract_z
Al1 Al 0.0000 0.2555 0.0000
Cd1 Cd 0.2556 0.5000 0.7500
Ga1 Ga 0.2392 0.2392 0.3750
Se1 Se 0.0187 0.2338 0.7638
Se2 Se 0.2345 0.4886 0.0078
```

Top 8 peaks for 10° ≤ 2θ ≤ 90°, low angle first:
(2 1 1), 2θ = 26.77°, rel. 45
(1 0 3), 2θ = 27.10°, rel. 29
(2 0 2), 2θ = 28.10°, rel. 45
(2 2 0), 2θ = 32.37°, rel. 79
(0 0 4), 2θ = 32.93°, rel. 37
(3 2 1), 2θ = 42.49°, rel. 29
(4 0 0), 2θ = 46.44°, rel. 51
(2 2 4), 2θ = 46.85°, rel. 100


12.
# Ho3Sc3BiTeOs
Computed XRD peak list, Cu Kα, 1.54184 Å. Input: a DFT-relaxed cell (GGA-PBE, OQMD).

Crystal structure
```
data_Ho3Sc3BiTeOs
_cell_length_a 7.9381
_cell_length_b 7.9381
_cell_length_c 4.0982
_cell_angle_alpha 90.00
_cell_angle_beta 90.00
_cell_angle_gamma 120.00
_space_group_name_H-M_alt 'P -6'
_space_group_IT_number 174
_space_group_name_Hall 'P -6'
loop_
_atom_site_label
_atom_site_type_symbol
_atom_site_fract_x
_atom_site_fract_y
_atom_site_fract_z
Ho1 Ho 0.0535 0.7178 0.0000
Sc1 Sc 0.4391 0.1049 0.5000
Bi1 Bi 0.0000 0.0000 0.5000
Te1 Te 0.3333 0.6667 0.5000
Os1 Os 0.6667 0.3333 0.0000
```

Top 8 peaks for 10° ≤ 2θ ≤ 90°, low angle first:
(1 1 0), 2θ = 22.40°, rel. 57
(1 0 1), 2θ = 25.30°, rel. 27
(1 1 1), 2θ = 31.38°, rel. 100
(2 0 1), 2θ = 34.04°, rel. 92
(3 0 0), 2θ = 39.32°, rel. 65
(1 2 1), 2θ = 41.13°, rel. 51
(3 0 2), 2θ = 60.62°, rel. 37
(3 2 1), 2θ = 63.17°, rel. 36


13.
# Sm2Ga2BrCl
Computed XRD peak list, Cu Kα, 1.54184 Å. Input: a DFT-relaxed cell (GGA-PBE, OQMD).

Crystal structure
```
data_Sm2Ga2BrCl
_cell_length_a 4.1707
_cell_length_b 4.1707
_cell_length_c 11.0304
_cell_angle_alpha 90.00
_cell_angle_beta 90.00
_cell_angle_gamma 120.00
_space_group_name_H-M_alt 'P 3 m 1'
_space_group_IT_number 156
_space_group_name_Hall 'P 3 -2"'
loop_
_atom_site_label
_atom_site_type_symbol
_atom_site_fract_x
_atom_site_fract_y
_atom_site_fract_z
Sm1 Sm 0.0000 0.0000 0.0000
Sm2 Sm 0.0000 0.0000 0.3811
Ga1 Ga 0.3333 0.6667 0.1597
Ga2 Ga 0.6667 0.3333 0.2190
Br1 Br 0.6667 0.3333 0.8365
Cl1 Cl 0.3333 0.6667 0.5244
```

Top 8 peaks for 10° ≤ 2θ ≤ 90°, low angle first:
(1 0 0), 2θ = 24.65°, rel. 23
(0 1 2), 2θ = 29.56°, rel. 94
(0 1 3), 2θ = 34.82°, rel. 100
(1 1 0), 2θ = 43.39°, rel. 56
(1 0 5), 2θ = 48.34°, rel. 26
(2 0 2), 2θ = 53.38°, rel. 18
(2 0 3), 2θ = 56.80°, rel. 24
(1 2 3), 2θ = 74.08°, rel. 22